The following is a calculated XRD peak list of WO3. It was derived from a cell relaxed with GGA+U, using Cu Kα.
No peak broadening, texture or thermal motion is included.

Largest 10 diffraction maxima, sorted by position, 2θ = 10–90°:
| Position (°2θ) | d/Å | I_rel | (hkl) |
| --- | --- | --- | --- |
| 14.56 | 6.083 | 33 | 1 0 -1 |
| 14.74 | 6.008 | 100 | 0 1 1 |
| 15.31 | 5.788 | 26 | 1 0 1 |
| 28.38 | 3.144 | 18 | 2 -1 1 |
| 28.74 | 3.106 | 16 | 0 1 -3 |
| 28.89 | 3.091 | 16 | 2 1 -1 |
| 29.37 | 3.042 | 22 | 2 0 -2 |
| 29.64 | 3.014 | 24 | 0 2 -2 |
| 29.79 | 2.999 | 16 | 0 2 2 |
| 30.90 | 2.894 | 16 | 2 0 2 |

Atomic structure:
Lattice parameters (Å, degrees): 7.301 7.449 10.243 90.14 93.00 93.50
Positions (direct):
W (0.000, 0.000, 0.000)
W (0.003, 0.500, 0.013)
W (0.248, 0.761, 0.773)
W (0.251, 0.266, 0.285)
W (0.499, 0.923, 0.480)
W (0.744, 0.690, 0.733)
W (0.749, 0.205, 0.236)
O (0.009, 0.738, 0.067)
O (0.011, 0.718, 0.694)
O (0.161, 0.060, 0.143)
O (0.183, 0.427, 0.142)
O (0.189, 0.563, 0.887)
O (0.212, 0.944, 0.886)
O (0.287, 0.428, 0.407)
O (0.318, 0.066, 0.397)
O (0.323, 0.877, 0.618)
O (0.487, 0.727, 0.389)
O (0.498, 0.705, 0.801)
O (0.499, 0.264, 0.219)
O (0.678, 0.066, 0.384)
O (0.685, 0.888, 0.616)
O (0.689, 0.516, 0.621)
O (0.781, 0.032, 0.115)
O (0.814, 0.410, 0.132)
O (0.817, 0.537, 0.879)
O (0.835, 0.899, 0.871)
O (0.982, 0.234, 0.319)
O (0.994, 0.238, 0.947)